(1)
This entry pairs a crystal structure of Ba5P3O12F with its simulated powder XRD pattern. Radiation: Cu Kα (λ = 1.5418 Å). Structure: a DFT-relaxed cell (GGA-PBE, Alexandria).
Peak positions follow from Bragg's law for the DFT cell and can differ from measured ones.

Structural model:
Cell: 10.3296 10.3296 7.8267 Å, 90.00 90.00 120.00°
Space group P6_3 (No. 173)
Symmetry-distinct sites (fractional):
Ba: 0.0166 0.7581 0.0000 x6
Ba: 0.3333 0.6667 0.2508 x2
Ba: 0.3333 0.6667 0.7494 x2
P: 0.0326 0.6318 0.5000 x6
O: 0.0809 0.7337 0.3381 x6
O: 0.0807 0.7339 0.6618 x6
O: 0.1174 0.5418 0.5002 x6
O: 0.1397 0.4778 0.9999 x6
F: 0.0000 0.0000 0.4978 x2

The 6 most intense peaks (5° ≤ 2θ ≤ 70°), in order of rising 2θ:
2theta	I (rel.)	h k l
24.83	41	1 0 2
26.36	37	1 2 0
28.62	86	1 1 2
28.76	100	1 2 1
29.97	55	3 0 0
43.83	35	1 2 3

=====

(2)
This entry pairs a crystal structure of Pm2TlH2 with its simulated powder XRD pattern. Radiation: Cu Kα (λ = 1.5418 Å). Structure: a DFT-relaxed cell (GGA-PBE, Alexandria).
Peak positions follow from Bragg's law for the DFT cell and can differ from measured ones.

Structural model:
Cell: 3.9785 3.9785 12.1710 Å, 90.00 90.00 90.00°
Space group I4/mmm (No. 139)
Symmetry-distinct sites (fractional):
Pm: 0.0000 0.0000 0.1512 x4
Tl: 0.0000 0.0000 0.5000 x2
H: 0.0000 0.5000 0.2500 x4

The 6 most intense peaks (5° ≤ 2θ ≤ 70°), in order of rising 2θ:
2theta	I (rel.)	h k l
31.49	100	1 0 3
31.81	51	1 1 0
45.60	19	2 0 0
55.88	17	1 1 6
56.47	39	2 1 3
65.75	10	2 0 6

=====

(3)
This entry pairs a crystal structure of Te2AuSe with its simulated powder XRD pattern. Radiation: Cu Kα (λ = 1.5418 Å). Structure: a DFT-relaxed cell (GGA-PBE, Alexandria).
Peak positions follow from Bragg's law for the DFT cell and can differ from measured ones.

Structural model:
Cell: 4.1832 4.1832 11.7084 Å, 90.00 90.00 90.00°
Space group I4mm (No. 107)
Symmetry-distinct sites (fractional):
Te: 0.0000 0.0000 0.0000 x2
Te: 0.0000 0.0000 0.2578 x2
Au: 0.0000 0.0000 0.7568 x2
Se: 0.0000 0.0000 0.5197 x2

The 6 most intense peaks (5° ≤ 2θ ≤ 70°), in order of rising 2θ:
2theta	I (rel.)	h k l
22.57	13	1 0 1
30.21	100	1 1 0
30.54	48	0 0 4
43.26	38	2 0 0
43.50	72	1 1 4
53.87	38	2 0 4

=====

(4)
This entry pairs a crystal structure of Y5Cd2Ni2 with its simulated powder XRD pattern. Radiation: Cu Kα (λ = 1.5418 Å). Structure: a DFT-relaxed cell (GGA-PBE, Alexandria).
Peak positions follow from Bragg's law for the DFT cell and can differ from measured ones.

Structural model:
Cell: 16.3735 7.4282 7.3960 Å, 90.00 90.00 90.00°
Space group Cmce (No. 64)
Symmetry-distinct sites (fractional):
Y: 0.0000 0.0000 0.0000 x4
Y: 0.1193 0.1819 0.3223 x16
Cd: 0.2228 0.0000 0.0000 x8
Ni: 0.0000 0.1182 0.6176 x8

The 6 most intense peaks (5° ≤ 2θ ≤ 70°), in order of rising 2θ:
2theta	I (rel.)	h k l
31.61	27	3 1 2
32.59	100	4 2 0
34.22	37	0 2 2
34.80	35	4 2 1
38.71	43	5 1 2
64.88	26	9 3 1